This entry pairs a crystal structure of Cs5BiO4F2 with its theoretical powder XRD pattern. Radiation: copper Kα. Structure: a structure optimized by DFT (GGA-PBE).
Lines closer than 0.1° are merged.

Atomic structure:
Cell: 8.4970 6.7669 6.7669 Å, 116.23 90.00 90.00°
Element x y z (fractional)
Cs: 0.0000 0.0000 0.0000
Cs: 0.2599 0.3151 0.6783
Cs: 0.2599 0.6783 0.3151
Cs: 0.7401 0.3151 0.6783
Cs: 0.7401 0.6783 0.3151
Bi: 0.5000 0.0102 0.0102
O: 0.3073 0.1839 0.1839
O: 0.5000 0.6992 0.9896
O: 0.5000 0.9896 0.6992
O: 0.6927 0.1839 0.1839
F: 0.0000 0.5576 0.9747
F: 0.0000 0.9747 0.5576

Largest 12 diffraction maxima, in order of rising 2θ, 10 to 90 degrees two-theta:
2θ/deg  intensity
24.9  50
25.6  96
26.1  53
26.4  100
36.4  65
42.6  17
44.3  21
44.8  24
46.7  35
50.8  32
60.0  19
63.5  17